Ca2In2Ga: simulated PXRD pattern (Cu Kα, 1.54184 Å), based on a DFT-relaxed cell (PBE, Alexandria).
Peak positions follow from Bragg's law for the DFT cell and can differ from measured ones.

Cell and atoms:
abc: 6.151 6.151 11.593
angles: 113.98 113.98 43.93
Fractional coordinates of all 10 atoms:
1 Ca 0.002 0.002 0.328
2 Ca 0.185 0.185 0.113
3 Ca 0.815 0.815 0.887
4 Ca 0.998 0.998 0.672
5 In 0.349 0.349 0.447
6 In 0.469 0.469 0.113
7 In 0.531 0.531 0.887
8 In 0.651 0.651 0.553
9 Ga 0.290 0.290 0.670
10 Ga 0.710 0.710 0.330

Main lines, by angle (15 to 90 degrees two-theta):
15.6 deg, rel. 30; 21.2 deg, rel. 67; 29.6 deg, rel. 31; 30.3 deg, rel. 87; 30.6 deg, rel. 36; 31.4 deg, rel. 31; 33.8 deg, rel. 31; 36.7 deg, rel. 100; 36.9 deg, rel. 36; 39.2 deg, rel. 53

***

Er4Si2Ge: simulated PXRD pattern (Cu Kα, 1.54184 Å), based on a DFT-relaxed cell (PBE, Alexandria).
Peak positions follow from Bragg's law for the DFT cell and can differ from measured ones.

Cell and atoms:
abc: 7.539 7.539 7.539
angles: 109.49 109.49 109.42
Fractional coordinates of all 14 atoms:
1 Er 0.127 0.243 0.750
2 Er 0.127 0.742 0.750
3 Er 0.258 0.007 0.384
4 Er 0.492 0.377 0.250
5 Er 0.623 0.873 0.116
6 Er 0.623 0.873 0.616
7 Er 0.757 0.508 0.884
8 Er 0.993 0.377 0.250
9 Si 0.250 0.625 0.125
10 Si 0.375 0.500 0.625
11 Si 0.500 0.125 0.875
12 Si 0.875 0.750 0.375
13 Ge 0.000 0.000 0.000
14 Ge 0.750 0.250 0.500

Main lines, by angle (15 to 90 degrees two-theta):
25.1 deg, rel. 37; 29.0 deg, rel. 28; 32.5 deg, rel. 100; 38.7 deg, rel. 65; 51.4 deg, rel. 24; 53.7 deg, rel. 46; 66.2 deg, rel. 21; 68.1 deg, rel. 13; 70.0 deg, rel. 17; 81.2 deg, rel. 14

***

Ba8LiTa7O24: simulated PXRD pattern (Cu Kα, 1.54184 Å), based on a DFT-relaxed cell (PBE, Alexandria).
Peak positions follow from Bragg's law for the DFT cell and can differ from measured ones.

Cell and atoms:
abc: 5.896 5.896 19.166
angles: 90.00 90.00 120.00
Fractional coordinates of all 40 atoms:
1 Ba 0.000 0.000 0.000
2 Ba 0.000 0.000 0.222
3 Ba 0.000 0.000 0.617
4 Ba 0.333 0.667 0.120
5 Ba 0.333 0.667 0.501
6 Ba 0.333 0.667 0.732
7 Ba 0.667 0.333 0.363
8 Ba 0.667 0.333 0.868
9 Li 0.667 0.333 0.200
10 Ta 0.000 0.000 0.429
11 Ta 0.000 0.000 0.806
12 Ta 0.333 0.667 0.304
13 Ta 0.333 0.667 0.926
14 Ta 0.667 0.333 0.056
15 Ta 0.667 0.333 0.550
16 Ta 0.667 0.333 0.686
17 O 0.003 0.502 0.987
18 O 0.015 0.508 0.250
19 O 0.166 0.333 0.373
20 O 0.166 0.834 0.373
21 O 0.168 0.335 0.866
22 O 0.168 0.832 0.866
23 O 0.328 0.164 0.492
24 O 0.329 0.165 0.744
25 O 0.350 0.175 0.109
26 O 0.492 0.508 0.250
27 O 0.492 0.985 0.250
28 O 0.498 0.502 0.987
29 O 0.498 0.997 0.987
30 O 0.506 0.013 0.618
31 O 0.506 0.494 0.618
32 O 0.665 0.832 0.866
33 O 0.667 0.834 0.373
34 O 0.825 0.175 0.109
35 O 0.825 0.650 0.109
36 O 0.835 0.165 0.744
37 O 0.835 0.671 0.744
38 O 0.836 0.164 0.492
39 O 0.836 0.672 0.492
40 O 0.987 0.494 0.618

Main lines, by angle (15 to 90 degrees two-theta):
29.1 deg, rel. 65; 30.3 deg, rel. 100; 33.1 deg, rel. 27; 42.5 deg, rel. 34; 45.5 deg, rel. 17; 50.9 deg, rel. 12; 53.1 deg, rel. 25; 53.9 deg, rel. 20; 55.6 deg, rel. 13; 63.1 deg, rel. 18

***

ZnI6: simulated PXRD pattern (Cu Kα, 1.54184 Å), based on a DFT-relaxed cell (PBE, Alexandria).
Peak positions follow from Bragg's law for the DFT cell and can differ from measured ones.

Cell and atoms:
abc: 8.503 8.503 9.059
angles: 90.00 90.00 100.25
Fractional coordinates of all 7 atoms:
1 Zn 0.000 0.000 0.000
2 I 0.000 0.000 0.266
3 I 0.000 0.000 0.734
4 I 0.183 0.560 0.000
5 I 0.440 0.817 0.000
6 I 0.560 0.183 0.000
7 I 0.817 0.440 0.000

Main lines, by angle (15 to 90 degrees two-theta):
16.7 deg, rel. 46; 21.2 deg, rel. 30; 22.0 deg, rel. 100; 22.3 deg, rel. 44; 23.9 deg, rel. 56; 24.1 deg, rel. 51; 25.4 deg, rel. 37; 35.7 deg, rel. 32; 37.1 deg, rel. 47; 37.9 deg, rel. 32

***

PrTcPb2O6: simulated PXRD pattern (Cu Kα, 1.54184 Å), based on a DFT-relaxed cell (PBE, Alexandria).
Peak positions follow from Bragg's law for the DFT cell and can differ from measured ones.

Cell and atoms:
abc: 5.881 5.881 5.881
angles: 63.10 63.10 63.10
Fractional coordinates of all 10 atoms:
1 Pr 0.000 0.000 0.000
2 Tc 0.500 0.500 0.500
3 Pb 0.271 0.271 0.271
4 Pb 0.729 0.729 0.729
5 O 0.192 0.699 0.355
6 O 0.301 0.645 0.808
7 O 0.355 0.192 0.699
8 O 0.645 0.808 0.301
9 O 0.699 0.355 0.192
10 O 0.808 0.301 0.645

Main lines, by angle (15 to 90 degrees two-theta):
29.0 deg, rel. 100; 30.5 deg, rel. 75; 34.9 deg, rel. 14; 36.1 deg, rel. 12; 42.6 deg, rel. 40; 51.4 deg, rel. 24; 52.3 deg, rel. 36; 60.1 deg, rel. 15; 68.9 deg, rel. 15; 83.0 deg, rel. 12

***

Na2ZrCl5: simulated PXRD pattern (Cu Kα, 1.54184 Å), based on a DFT-relaxed cell (PBE, Alexandria).
Peak positions follow from Bragg's law for the DFT cell and can differ from measured ones.

Cell and atoms:
abc: 7.549 7.549 7.516
angles: 107.30 107.30 60.62
Fractional coordinates of all 8 atoms:
1 Na 0.000 0.000 0.000
2 Na 0.522 0.522 0.491
3 Zr 0.608 0.608 0.029
4 Cl 0.293 0.744 0.771
5 Cl 0.349 0.799 0.252
6 Cl 0.744 0.293 0.771
7 Cl 0.799 0.349 0.252
8 Cl 0.800 0.800 0.080

Main lines, by angle (15 to 90 degrees two-theta):
15.6 deg, rel. 56; 16.8 deg, rel. 58; 20.2 deg, rel. 41; 26.6 deg, rel. 33; 27.5 deg, rel. 36; 29.2 deg, rel. 32; 34.0 deg, rel. 63; 34.7 deg, rel. 100; 36.4 deg, rel. 34; 43.2 deg, rel. 30